The following is a calculated XRD peak list of NaCrF6. It was derived from a DFT-relaxed cell (PBE+U, Alexandria), using Cu Kα (weighted mean of Kα1 and Kα2).
No peak broadening, texture or thermal motion is included.

Structure:
```
data_NaCrF6
_cell_length_a 5.455
_cell_length_b 8.513
_cell_length_c 5.130
_cell_angle_alpha 90.00
_cell_angle_beta 101.90
_cell_angle_gamma 90.00
_space_group_name_H-M_alt 'C 1 2/m 1'
_space_group_IT_number 12
loop_
_space_group_symop_operation_xyz
'x,y,z'
'-x,-y,-z'
'-x,y,-z'
'x,-y,z'
'x+1/2,y+1/2,z'
'-x+1/2,-y+1/2,-z'
'-x+1/2,y+1/2,-z'
'x+1/2,-y+1/2,z'
loop_
_atom_site_label
_atom_site_type_symbol
_atom_site_fract_x
_atom_site_fract_y
_atom_site_fract_z
Na1 Na 0.000 0.000 0.000
Cr1 Cr 0.000 0.500 0.500
F1 F 0.171 0.352 0.718
F2 F 0.236 0.500 0.304
```

Main lines, sorted by position (10 to 90 degrees two-theta):
| two_theta | d [Å] | intensity | hkl |
| --- | --- | --- | --- |
| 17.67 | 5.020 | 49 | 0 0 1 |
| 19.63 | 4.522 | 69 | 1 1 0 |
| 20.87 | 4.257 | 85 | 0 2 0 |
| 24.08 | 3.696 | 100 | 1 1 -1 |
| 27.47 | 3.247 | 14 | 0 2 1 |
| 28.79 | 3.101 | 52 | 1 1 1 |
| 41.82 | 2.160 | 94 | 1 3 1 |
| 44.14 | 2.052 | 33 | 2 0 -2 |
| 51.99 | 1.759 | 13 | 3 1 -1 |
| 63.83 | 1.458 | 17 | 1 3 -3 |